[1]
Theoretical powder diffractogram of NaSnBr4 for a wavelength of 1.5418 Å, from a PBE-relaxed structure.
Neutral-atom scattering factors, no anomalous dispersion.

Most intense lines, 2θ from 10° to 90°, sorted by position:
d [Å], 2theta, I_rel, (hkl)
8.505, 10.40, 29, 0 2 0
6.490, 13.64, 33, 1 1 0
4.834, 18.35, 38, 0 2 1
4.349, 20.42, 15, 1 3 -1
3.444, 25.87, 27, 0 4 1
3.010, 29.68, 100, 2 4 -1
2.937, 30.43, 52, 0 0 2
2.130, 42.44, 56, 4 0 -2
2.075, 43.61, 34, 2 4 -3
1.755, 52.12, 13, 4 0 0

Crystal structure
```
data_NaSnBr4
_chemical_formula_sum 'Na4 Sn4 Br16'
_cell_length_a 8.525
_cell_length_b 17.011
_cell_length_c 7.133
_cell_angle_alpha 90.00
_cell_angle_beta 124.56
_cell_angle_gamma 90.00
_space_group_name_H-M_alt 'C 1 2/c 1'
_space_group_IT_number 15
loop_
_space_group_symop_operation_xyz
'x,y,z'
'-x,-y,-z'
'-x,y,-z+1/2'
'x,-y,z+1/2'
'x+1/2,y+1/2,z'
'-x+1/2,-y+1/2,-z'
'-x+1/2,y+1/2,-z+1/2'
'x+1/2,-y+1/2,z+1/2'
loop_
_atom_site_label
_atom_site_type_symbol
_atom_site_fract_x
_atom_site_fract_y
_atom_site_fract_z
_atom_site_occupancy
Na1 Na 0.000 0.085 0.250 1
Sn1 Sn 0.000 0.419 0.750 1
Br1 Br 0.216 0.314 0.725 1
Br2 Br 0.246 0.453 0.229 1
```

---

[2]
Theoretical powder diffractogram of Na3Sn2Br7 for a wavelength of 1.5418 Å, from a PBE-relaxed structure.
Neutral-atom scattering factors, no anomalous dispersion.

Most intense lines, 2θ from 10° to 90°, sorted by position:
d [Å], 2theta, I_rel, (hkl)
6.558, 13.50, 49, 4 0 0
5.388, 16.45, 56, 1 1 1
3.427, 26.00, 49, 0 2 1
3.360, 26.53, 76, 7 1 0
3.316, 26.89, 40, 2 2 1
3.281, 27.18, 35, 3 1 2
2.934, 30.47, 39, 5 1 2
2.753, 32.53, 33, 0 2 2
2.576, 34.83, 43, 9 1 1
2.192, 41.19, 100, 5 3 1

Crystal structure
```
data_Na3Sn2Br7
_chemical_formula_sum 'Na12 Sn8 Br28'
_cell_length_a 26.231
_cell_length_b 7.586
_cell_length_c 8.002
_cell_angle_alpha 90.00
_cell_angle_beta 90.00
_cell_angle_gamma 90.00
_space_group_name_H-M_alt 'C m c 21'
_space_group_IT_number 36
loop_
_space_group_symop_operation_xyz
'x,y,z'
'-x,-y,z+1/2'
'-x,y,z'
'x,-y,z+1/2'
'x+1/2,y+1/2,z'
'-x+1/2,-y+1/2,z+1/2'
'-x+1/2,y+1/2,z'
'x+1/2,-y+1/2,z+1/2'
loop_
_atom_site_label
_atom_site_type_symbol
_atom_site_fract_x
_atom_site_fract_y
_atom_site_fract_z
_atom_site_occupancy
Na1 Na 0.000 0.231 0.000 1
Na2 Na 0.194 0.257 0.121 1
Sn1 Sn 0.109 0.250 0.534 1
Br1 Br 0.000 0.116 0.653 1
Br2 Br 0.083 0.408 0.186 1
Br3 Br 0.149 0.063 0.825 1
Br4 Br 0.209 0.387 0.475 1
```

---

[3]
Theoretical powder diffractogram of Na3Tl2SnBr8 for a wavelength of 1.5418 Å, from a PBE-relaxed structure.
Neutral-atom scattering factors, no anomalous dispersion.

Most intense lines, 2θ from 10° to 90°, sorted by position:
d [Å], 2theta, I_rel, (hkl)
4.469, 19.87, 94, 1 1 0
3.851, 23.09, 58, 0 1 5
3.825, 23.25, 100, 1 1 3
3.655, 24.36, 37, 2 0 2
3.175, 28.11, 56, 0 2 4
2.917, 30.64, 39, 2 0 5
2.443, 36.79, 36, 1 2 5
2.436, 36.89, 31, 0 3 3
2.255, 39.98, 80, 2 0 8
2.235, 40.36, 94, 2 2 0

Crystal structure
```
data_Na3Tl2SnBr8
_chemical_formula_sum 'Na9 Tl6 Sn3 Br24'
_cell_length_a 8.9384
_cell_length_b 8.9384
_cell_length_c 22.1986
_cell_angle_alpha 90.00
_cell_angle_beta 90.00
_cell_angle_gamma 120.00
_space_group_name_H-M_alt 'R 3 m'
_space_group_IT_number 160
_space_group_name_Hall 'R 3 -2"'
loop_
_atom_site_label
_atom_site_type_symbol
_atom_site_fract_x
_atom_site_fract_y
_atom_site_fract_z
_atom_site_occupancy
Na1 Na 0.0045 0.5022 0.0000 1
Tl1 Tl 0.0000 0.0000 0.1241 1
Tl2 Tl 0.0000 0.0000 0.5064 1
Sn1 Sn 0.0000 0.0000 0.8684 1
Br1 Br 0.0000 0.0000 0.2586 1
Br2 Br 0.0000 0.0000 0.7262 1
Br3 Br 0.1754 0.3507 0.5947 1
Br4 Br 0.1763 0.3527 0.0774 1
```

---

[4]
Theoretical powder diffractogram of NaSr2TmBr8 for a wavelength of 1.5418 Å, from a PBE-relaxed structure.
Neutral-atom scattering factors, no anomalous dispersion.

Most intense lines, 2θ from 10° to 90°, sorted by position:
d [Å], 2theta, I_rel, (hkl)
4.932, 17.99, 80, 1 0 -1
4.882, 18.17, 63, 1 0 1
3.353, 26.59, 96, 1 2 -1
3.337, 26.72, 100, 1 2 1
2.589, 34.65, 42, 1 2 -2
2.562, 35.03, 75, 2 2 -1
2.548, 35.23, 51, 2 2 1
2.441, 36.82, 42, 2 0 2
2.286, 39.42, 50, 0 4 0
2.084, 43.42, 81, 0 2 3

Crystal structure
```
data_NaSr2TmBr8
_chemical_formula_sum 'Na1 Sr2 Tm1 Br8'
_cell_length_a 6.856
_cell_length_b 9.143
_cell_length_c 7.026
_cell_angle_alpha 90.00
_cell_angle_beta 90.59
_cell_angle_gamma 90.00
_space_group_name_H-M_alt 'P 1 2/m 1'
_space_group_IT_number 10
loop_
_space_group_symop_operation_xyz
'x,y,z'
'-x,-y,-z'
'-x,y,-z'
'x,-y,z'
loop_
_atom_site_label
_atom_site_type_symbol
_atom_site_fract_x
_atom_site_fract_y
_atom_site_fract_z
_atom_site_occupancy
Na1 Na 0.000 0.000 0.000 1
Sr1 Sr 0.500 0.246 0.500 1
Tm1 Tm 0.000 0.500 0.000 1
Br1 Br 0.213 0.276 0.835 1
Br2 Br 0.259 0.500 0.315 1
Br3 Br 0.274 0.000 0.320 1
```